[1]
Structure and computed powder X-ray diffraction pattern of Ca2TiNb2O8 (the GGA-PBE geometry in Alexandria; Cu Kα (weighted mean of Kα1 and Kα2)).
No peak broadening, texture or thermal motion is included.

Unit cell a=18.844 b=6.240 c=5.531 alpha=90.00 beta=91.62 gamma=90.00
Space group C2/c (No. 15)
Inequivalent atoms, fractional coordinates:
Ca1 0.206 0.193 0.241 (multiplicity 8)
Ti1 0.000 0.119 0.250 (multiplicity 4)
Nb1 0.110 0.352 0.772 (multiplicity 8)
O1 0.052 0.141 0.581 (multiplicity 8)
O2 0.069 0.348 0.118 (multiplicity 8)
O3 0.179 0.448 0.510 (multiplicity 8)
O4 0.184 0.143 0.842 (multiplicity 8)

Peak list (10 most intense, 10 to 90 degrees two-theta, low angle first)
hkl, 2θ/deg, Rel. int.
4 0 0, 18.8, 23
3 1 0, 20.1, 31
1 1 -1, 21.9, 27
5 1 0, 27.7, 57
5 1 -1, 31.8, 72
0 0 2, 32.4, 100
0 2 1, 33.0, 56
4 2 1, 38.5, 28
5 3 0, 50.1, 39
0 2 3, 58.1, 23

[2]
Structure and computed powder X-ray diffraction pattern of Ca2YNbO6 (the GGA-PBE geometry in Alexandria; Cu Kα (weighted mean of Kα1 and Kα2)).
No peak broadening, texture or thermal motion is included.

Unit cell a=5.642 b=5.880 c=9.897 alpha=90.00 beta=124.63 gamma=90.00
Space group P2_1/c (No. 14)
Inequivalent atoms, fractional coordinates:
Ca1 0.239 0.054 0.254 (multiplicity 4)
Y1 0.500 0.000 0.000 (multiplicity 2)
Nb1 0.000 0.000 0.500 (multiplicity 2)
O1 0.112 0.214 0.932 (multiplicity 4)
O2 0.235 0.684 0.944 (multiplicity 4)
O3 0.349 0.050 0.734 (multiplicity 4)

Peak list (10 most intense, 10 to 90 degrees two-theta, low angle first)
hkl, 2θ/deg, Rel. int.
1 1 -1, 21.8, 49
0 2 0, 30.4, 24
1 1 -3, 31.1, 100
2 0 -2, 31.7, 21
0 0 4, 44.5, 41
2 2 -4, 50.1, 17
1 3 -3, 54.4, 18
0 2 4, 54.9, 12
3 1 -5, 56.1, 26
1 1 -7, 73.6, 15

[3]
Structure and computed powder X-ray diffraction pattern of CaScTi2Nb (the GGA-PBE geometry in Alexandria; Cu Kα (weighted mean of Kα1 and Kα2)).
No peak broadening, texture or thermal motion is included.

Unit cell a=5.006 b=5.006 c=4.896 alpha=90.00 beta=90.00 gamma=90.00
Space group P4/mmm (No. 123)
Inequivalent atoms, fractional coordinates:
Ca1 0.000 0.000 0.000 (multiplicity 1)
Sc1 0.500 0.500 0.500 (multiplicity 1)
Ti1 0.000 0.500 0.500 (multiplicity 2)
Nb1 0.500 0.500 0.000 (multiplicity 1)

Peak list (10 most intense, 10 to 90 degrees two-theta, low angle first)
hkl, 2θ/deg, Rel. int.
1 0 0, 17.7, 56
1 1 0, 25.2, 19
1 1 1, 31.2, 100
2 0 0, 35.9, 73
0 0 2, 36.7, 34
2 1 0, 40.3, 13
2 2 0, 51.6, 24
2 0 2, 52.3, 46
3 1 1, 61.6, 25
2 2 2, 65.0, 23

[4]
Structure and computed powder X-ray diffraction pattern of SrCaNb (the GGA-PBE geometry in Alexandria; Cu Kα (weighted mean of Kα1 and Kα2)).
No peak broadening, texture or thermal motion is included.

Unit cell a=6.167 b=3.528 c=9.618 alpha=90.00 beta=104.74 gamma=90.00
Space group Pm (No. 6)
Inequivalent atoms, fractional coordinates:
Sr1 0.000 0.000 0.000 (multiplicity 1)
Sr2 0.168 0.500 0.418 (multiplicity 1)
Ca1 0.411 0.000 0.771 (multiplicity 1)
Ca2 0.577 0.500 0.188 (multiplicity 1)
Nb1 0.700 0.000 0.495 (multiplicity 1)
Nb2 0.859 0.500 0.686 (multiplicity 1)

Peak list (10 most intense, 10 to 90 degrees two-theta, low angle first)
hkl, 2θ/deg, Rel. int.
1 0 0, 14.9, 33
1 0 -1, 15.5, 33
1 0 2, 27.1, 29
1 0 -3, 28.9, 49
2 0 -1, 29.0, 80
1 1 1, 32.2, 100
1 1 -2, 33.1, 68
0 0 4, 38.7, 43
0 1 4, 46.8, 27
2 2 -1, 60.5, 27

[5]
Structure and computed powder X-ray diffraction pattern of Ca2Nb2Te (the GGA-PBE geometry in Alexandria; Cu Kα (weighted mean of Kα1 and Kα2)).
No peak broadening, texture or thermal motion is included.

Unit cell a=3.773 b=3.773 c=19.520 alpha=90.00 beta=90.00 gamma=90.00
Space group I4/mmm (No. 139)
Inequivalent atoms, fractional coordinates:
Ca1 0.000 0.000 0.097 (multiplicity 4)
Nb1 0.000 0.500 0.250 (multiplicity 4)
Te1 0.000 0.000 0.500 (multiplicity 2)

Peak list (10 most intense, 10 to 90 degrees two-theta, low angle first)
hkl, 2θ/deg, Rel. int.
0 0 4, 18.2, 68
1 0 3, 27.3, 42
1 0 5, 33.0, 42
1 1 2, 34.9, 100
0 0 8, 36.8, 19
1 1 6, 43.9, 26
2 0 0, 48.2, 26
2 0 4, 52.0, 17
1 1 10, 58.6, 28
3 1 2, 81.2, 16

[6]
Structure and computed powder X-ray diffraction pattern of CaNd4 (the GGA-PBE geometry in Alexandria; Cu Kα (weighted mean of Kα1 and Kα2)).
No peak broadening, texture or thermal motion is included.

Unit cell a=3.696 b=5.230 c=18.762 alpha=90.00 beta=90.00 gamma=90.00
Space group Immm (No. 71)
Inequivalent atoms, fractional coordinates:
Ca1 0.000 0.000 0.000 (multiplicity 2)
Nd1 0.000 0.000 0.203 (multiplicity 4)
Nd2 0.000 0.000 0.394 (multiplicity 4)

Peak list (10 most intense, 10 to 90 degrees two-theta, low angle first)
hkl, 2θ/deg, Rel. int.
0 1 5, 29.3, 100
1 1 0, 29.6, 99
1 0 5, 34.0, 67
0 2 0, 34.3, 34
1 2 5, 49.1, 48
1 1 10, 57.9, 27
2 1 5, 58.4, 42
1 3 0, 58.5, 14
2 2 0, 61.4, 12
3 0 5, 82.4, 16

[7]
Structure and computed powder X-ray diffraction pattern of Ca3Nd4 (the GGA-PBE geometry in Alexandria; Cu Kα (weighted mean of Kα1 and Kα2)).
No peak broadening, texture or thermal motion is included.

Unit cell a=3.755 b=3.755 c=37.503 alpha=90.00 beta=90.00 gamma=90.00
Space group I4/mmm (No. 139)
Inequivalent atoms, fractional coordinates:
Ca1 0.000 0.000 0.000 (multiplicity 2)
Ca2 0.000 0.000 0.289 (multiplicity 4)
Nd1 0.000 0.000 0.138 (multiplicity 4)
Nd2 0.000 0.000 0.426 (multiplicity 4)

Peak list (10 most intense, 10 to 90 degrees two-theta, low angle first)
hkl, 2θ/deg, Rel. int.
1 0 3, 24.8, 12
1 0 7, 29.0, 100
0 0 14, 33.5, 16
1 1 0, 33.8, 34
1 0 11, 35.6, 12
1 1 14, 48.3, 22
2 0 0, 48.5, 13
1 0 21, 57.1, 11
2 1 7, 57.5, 28
2 0 14, 60.2, 11

[8]
Structure and computed powder X-ray diffraction pattern of Ca7Nd (the GGA-PBE geometry in Alexandria; Cu Kα (weighted mean of Kα1 and Kα2)).
No peak broadening, texture or thermal motion is included.

Unit cell a=14.899 b=12.175 c=3.708 alpha=90.00 beta=104.39 gamma=90.00
Space group C2/m (No. 12)
Inequivalent atoms, fractional coordinates:
Ca1 0.000 0.000 0.000 (multiplicity 2)
Ca2 0.126 0.242 0.627 (multiplicity 8)
Ca3 0.242 0.500 0.741 (multiplicity 4)
Nd1 0.000 0.500 0.000 (multiplicity 2)

Peak list (10 most intense, 10 to 90 degrees two-theta, low angle first)
hkl, 2θ/deg, Rel. int.
3 1 -1, 28.0, 26
4 2 0, 28.8, 100
2 2 -1, 28.9, 32
0 4 0, 29.3, 32
2 0 1, 30.4, 31
1 3 1, 35.1, 14
2 4 1, 42.8, 23
4 6 0, 51.7, 23
6 2 1, 53.0, 16
6 2 -2, 57.9, 18

[9]
Structure and computed powder X-ray diffraction pattern of Ca5NdO6 (the GGA-PBE geometry in Alexandria; Cu Kα (weighted mean of Kα1 and Kα2)).
No peak broadening, texture or thermal motion is included.

Unit cell a=5.975 b=10.357 c=5.976 alpha=90.00 beta=109.43 gamma=90.00
Space group C2/m (No. 12)
Inequivalent atoms, fractional coordinates:
Ca1 0.000 0.000 0.000 (multiplicity 2)
Ca2 0.000 0.166 0.500 (multiplicity 4)
Ca3 0.000 0.331 0.000 (multiplicity 4)
Nd1 0.000 0.500 0.500 (multiplicity 2)
O1 0.249 0.000 0.751 (multiplicity 4)
O2 0.249 0.167 0.250 (multiplicity 8)

Peak list (10 most intense, 10 to 90 degrees two-theta, low angle first)
hkl, 2θ/deg, Rel. int.
0 0 1, 15.7, 13
1 1 0, 17.9, 19
1 1 -1, 20.1, 15
0 2 1, 23.3, 11
2 0 0, 31.8, 63
1 3 1, 36.8, 100
2 0 2, 53.1, 62
3 3 1, 63.2, 24
4 0 0, 66.3, 20
4 6 0, 89.9, 25

[10]
Structure and computed powder X-ray diffraction pattern of CaNdPa2O8 (the GGA-PBE geometry in Alexandria; Cu Kα (weighted mean of Kα1 and Kα2)).
No peak broadening, texture or thermal motion is included.

Unit cell a=5.509 b=5.509 c=10.791 alpha=90.00 beta=90.00 gamma=90.00
Space group I-4m2 (No. 119)
Inequivalent atoms, fractional coordinates:
Ca1 0.000 0.000 0.000 (multiplicity 2)
Nd1 0.000 0.500 0.250 (multiplicity 2)
Pa1 0.000 0.000 0.500 (multiplicity 2)
Pa2 0.000 0.500 0.750 (multiplicity 2)
O1 0.229 0.250 0.625 (multiplicity 16)

Peak list (10 most intense, 10 to 90 degrees two-theta, low angle first)
hkl, 2θ/deg, Rel. int.
1 0 1, 18.1, 30
1 1 2, 28.3, 100
2 0 0, 32.5, 22
0 0 4, 33.2, 10
2 2 0, 46.6, 18
2 0 4, 47.2, 35
3 1 2, 55.4, 31
1 1 6, 56.3, 17
3 1 6, 76.1, 14
4 2 4, 86.9, 11

[11]
Structure and computed powder X-ray diffraction pattern of CaNdRe2O8 (the GGA-PBE geometry in Alexandria; Cu Kα (weighted mean of Kα1 and Kα2)).
No peak broadening, texture or thermal motion is included.

Unit cell a=5.9962 b=5.9962 c=6.9115 alpha=90.00 beta=90.00 gamma=120.00
Space group P-3m1 (No. 164)
Inequivalent atoms, fractional coordinates:
Ca1 0.0000 0.0000 0.0000 (multiplicity 1)
Nd1 0.0000 0.0000 0.5000 (multiplicity 1)
Re1 0.3333 0.6667 0.8201 (multiplicity 2)
O1 0.1635 0.3271 0.7383 (multiplicity 6)
O2 0.3333 0.6667 0.0765 (multiplicity 2)

Peak list (10 most intense, 10 to 90 degrees two-theta, low angle first)
hkl, 2θ/deg, Rel. int.
0 1 1, 21.4, 100
1 1 0, 29.8, 52
1 0 2, 31.1, 37
2 0 1, 37.0, 14
0 2 2, 43.6, 21
1 2 1, 48.2, 24
1 1 3, 49.9, 18
3 0 0, 52.9, 11
2 1 2, 53.7, 17
0 1 4, 56.1, 10

[12]
Structure and computed powder X-ray diffraction pattern of Ca2NdRuO6 (the GGA-PBE geometry in Alexandria; Cu Kα (weighted mean of Kα1 and Kα2)).
No peak broadening, texture or thermal motion is included.

Unit cell a=5.598 b=5.909 c=9.843 alpha=90.00 beta=124.54 gamma=90.00
Space group Pc (No. 7)
Inequivalent atoms, fractional coordinates:
Ca1 0.000 0.191 0.000 (multiplicity 2)
Ca2 0.736 0.243 0.254 (multiplicity 2)
Nd1 0.472 0.314 0.508 (multiplicity 2)
Ru1 0.238 0.249 0.755 (multiplicity 2)
O1 0.006 0.433 0.808 (multiplicity 2)
O2 0.139 0.032 0.326 (multiplicity 2)
O3 0.343 0.471 0.185 (multiplicity 2)
O4 0.472 0.074 0.700 (multiplicity 2)
O5 0.583 0.302 0.983 (multiplicity 2)
O6 0.889 0.196 0.526 (multiplicity 2)

Peak list (10 most intense, 10 to 90 degrees two-theta, low angle first)
hkl, 2θ/deg, Rel. int.
0 1 1, 18.6, 31
1 0 0, 19.3, 30
0 2 0, 30.2, 20
1 1 -3, 31.2, 100
2 0 -2, 32.0, 22
2 1 -3, 37.2, 12
2 2 -2, 44.6, 21
0 0 4, 44.7, 14
1 3 -2, 50.4, 12
3 1 -5, 56.5, 23

[13]
Structure and computed powder X-ray diffraction pattern of CaNd2SiO6 (the GGA-PBE geometry in Alexandria; Cu Kα (weighted mean of Kα1 and Kα2)).
No peak broadening, texture or thermal motion is included.

Unit cell a=5.383 b=5.383 c=4.829 alpha=90.00 beta=90.00 gamma=90.00
Space group P4mm (No. 99)
Inequivalent atoms, fractional coordinates:
Ca1 0.000 0.000 0.000 (multiplicity 1)
Nd1 0.000 0.500 0.435 (multiplicity 2)
Si1 0.500 0.500 0.035 (multiplicity 1)
O1 0.000 0.000 0.542 (multiplicity 1)
O2 0.279 0.279 0.143 (multiplicity 4)
O3 0.500 0.500 0.687 (multiplicity 1)

Peak list (10 most intense, 10 to 90 degrees two-theta, low angle first)
hkl, 2θ/deg, Rel. int.
0 0 1, 18.4, 38
1 1 0, 23.4, 25
1 1 1, 29.9, 100
2 0 0, 33.3, 36
2 0 1, 38.3, 30
1 1 2, 44.4, 22
2 2 0, 47.8, 23
2 0 2, 50.8, 26
3 1 1, 57.4, 31
3 1 2, 67.3, 12